(1)
This entry pairs a crystal structure of V3P with its calculated XRD peak list. Radiation: copper Kα. Structure: a structure optimized by DFT (GGA-PBE).

Structure:
Unit cell a=7.0270 b=7.0270 c=7.0270 alpha=96.48 beta=96.48 gamma=140.74
Atoms (fractional coordinates):
1 V 0.0691 0.3934 0.4873
2 V 0.0942 0.2257 0.8412
3 V 0.2125 0.6870 0.9111
4 V 0.3130 0.2242 0.5256
5 V 0.3844 0.2529 0.1588
6 V 0.4182 0.9309 0.3242
7 V 0.6066 0.0940 0.6758
8 V 0.6986 0.7875 0.4744
9 V 0.7471 0.9058 0.1315
10 V 0.7743 0.6156 0.8685
11 V 0.7758 0.3014 0.0889
12 V 0.9060 0.5818 0.5127
13 P 0.2358 0.4712 0.1844
14 P 0.2868 0.0514 0.8156
15 P 0.5288 0.7132 0.7647
16 P 0.9486 0.7642 0.2353

Principal peaks in the range 2θ = 10–90°, by intensity:
- 2θ 39.6, 2.275 Å, intensity 100
- 2θ 44.3, 2.046 Å, intensity 96
- 2θ 40.6, 2.224 Å, intensity 63
- 2θ 47.3, 1.922 Å, intensity 44
- 2θ 40.9, 2.206 Å, intensity 40
- 2θ 43.2, 2.093 Å, intensity 38
- 2θ 49.7, 1.836 Å, intensity 22
- 2θ 83.8, 1.155 Å, intensity 17
- 2θ 73.2, 1.293 Å, intensity 16
- 2θ 49.4, 1.846 Å, intensity 15

(2)
This entry pairs a crystal structure of NaSr with its calculated XRD peak list. Radiation: copper Kα. Structure: a structure optimized by DFT (GGA-PBE).

Structure:
Unit cell a=4.1852 b=5.9877 c=7.7172 alpha=90.00 beta=105.51 gamma=90.00
Atoms (fractional coordinates):
1 Na 0.0611 0.2500 0.1312
2 Na 0.9389 0.7500 0.8688
3 Sr 0.3307 0.2500 0.6590
4 Sr 0.6693 0.7500 0.3410

Principal peaks in the range 2θ = 10–90°, by intensity:
- 2θ 26.7, 3.343 Å, intensity 100
- 2θ 28.3, 3.159 Å, intensity 62
- 2θ 19.0, 4.664 Å, intensity 46
- 2θ 41.3, 2.186 Å, intensity 37
- 2θ 29.8, 2.994 Å, intensity 31
- 2θ 27.8, 3.204 Å, intensity 28
- 2θ 28.0, 3.192 Å, intensity 26
- 2θ 11.9, 7.436 Å, intensity 20
- 2θ 51.1, 1.788 Å, intensity 16
- 2θ 47.6, 1.909 Å, intensity 15

(3)
This entry pairs a crystal structure of Tb5N4 with its calculated XRD peak list. Radiation: copper Kα. Structure: a structure optimized by DFT (GGA-PBE).

Structure:
Unit cell a=7.0871 b=7.0871 c=7.0871 alpha=93.61 beta=93.61 gamma=150.92
Atoms (fractional coordinates):
1 Tb 0.0000 0.0000 0.0000
2 Tb 0.2407 0.4043 0.6450
3 Tb 0.4043 0.7593 0.1636
4 Tb 0.5957 0.2407 0.8364
5 Tb 0.7593 0.5957 0.3550
6 N 0.1226 0.2046 0.3272
7 N 0.2046 0.8774 0.0819
8 N 0.7954 0.1226 0.9181
9 N 0.8774 0.7954 0.6728

Principal peaks in the range 2θ = 10–90°, by intensity:
- 2θ 32.5, 2.751 Å, intensity 100
- 2θ 29.1, 3.068 Å, intensity 57
- 2θ 53.8, 1.703 Å, intensity 27
- 2θ 41.6, 2.169 Å, intensity 27
- 2θ 12.9, 6.860 Å, intensity 16
- 2θ 60.1, 1.539 Å, intensity 16
- 2θ 42.1, 2.146 Å, intensity 15
- 2θ 68.2, 1.376 Å, intensity 12
- 2θ 84.8, 1.144 Å, intensity 10
- 2θ 51.4, 1.779 Å, intensity 9

(4)
This entry pairs a crystal structure of BaCa5 with its calculated XRD peak list. Radiation: copper Kα. Structure: a structure optimized by DFT (GGA-PBE).

Structure:
Unit cell a=7.7389 b=7.7389 c=9.5133 alpha=104.97 beta=104.97 gamma=29.67
Atoms (fractional coordinates):
1 Ba 0.0000 0.0000 0.0000
2 Ca 0.2730 0.2730 0.0569
3 Ca 0.3311 0.3311 0.6587
4 Ca 0.6155 0.6155 0.7136
5 Ca 0.6715 0.6715 0.3423
6 Ca 0.9445 0.9445 0.3922

Principal peaks in the range 2θ = 10–90°, by intensity:
- 2θ 29.2, 3.057 Å, intensity 100
- 2θ 29.3, 3.043 Å, intensity 62
- 2θ 27.1, 3.293 Å, intensity 51
- 2θ 25.9, 3.442 Å, intensity 35
- 2θ 28.9, 3.085 Å, intensity 33
- 2θ 54.0, 1.699 Å, intensity 27
- 2θ 45.4, 1.998 Å, intensity 23
- 2θ 49.4, 1.846 Å, intensity 22
- 2θ 37.9, 2.373 Å, intensity 18
- 2θ 12.3, 7.209 Å, intensity 17

(5)
This entry pairs a crystal structure of La5Tb4Sn4 with its calculated XRD peak list. Radiation: copper Kα. Structure: a structure optimized by DFT (GGA-PBE).

Structure:
Unit cell a=9.7138 b=9.7138 c=9.7138 alpha=93.40 beta=93.40 gamma=151.79
Atoms (fractional coordinates):
1 La 0.0000 0.0000 0.0000
2 La 0.2949 0.6186 0.9134
3 La 0.3814 0.2949 0.6763
4 La 0.6186 0.7051 0.3237
5 La 0.7051 0.3814 0.0866
6 Tb 0.0949 0.4058 0.5007
7 Tb 0.4058 0.9051 0.3109
8 Tb 0.5942 0.0949 0.6891
9 Tb 0.9051 0.5942 0.4993
10 Sn 0.0780 0.7618 0.8398
11 Sn 0.2382 0.0780 0.3161
12 Sn 0.7618 0.9220 0.6839
13 Sn 0.9220 0.2382 0.1602

Principal peaks in the range 2θ = 10–90°, by intensity:
- 2θ 30.7, 2.913 Å, intensity 100
- 2θ 34.3, 2.613 Å, intensity 24
- 2θ 38.0, 2.367 Å, intensity 19
- 2θ 62.7, 1.481 Å, intensity 15
- 2θ 52.1, 1.754 Å, intensity 15
- 2θ 27.5, 3.239 Å, intensity 12
- 2θ 64.2, 1.451 Å, intensity 12
- 2θ 33.6, 2.669 Å, intensity 10
- 2θ 30.0, 2.979 Å, intensity 9
- 2θ 53.7, 1.707 Å, intensity 9

(6)
This entry pairs a crystal structure of Ti2GaAu with its calculated XRD peak list. Radiation: copper Kα. Structure: a structure optimized by DFT (GGA-PBE).

Structure:
Unit cell a=2.9133 b=2.9133 c=7.7428 alpha=90.00 beta=90.00 gamma=90.00
Atoms (fractional coordinates):
1 Ti 0.0000 0.0000 0.2425
2 Ti 0.0000 0.0000 0.7575
3 Ga 0.5000 0.5000 0.0000
4 Au 0.5000 0.5000 0.5000

Principal peaks in the range 2θ = 10–90°, by intensity:
- 2θ 38.7, 2.328 Å, intensity 100
- 2θ 11.4, 7.743 Å, intensity 45
- 2θ 44.0, 2.060 Å, intensity 35
- 2θ 77.3, 1.235 Å, intensity 25
- 2θ 30.7, 2.913 Å, intensity 21
- 2θ 23.0, 3.871 Å, intensity 21
- 2θ 47.0, 1.935 Å, intensity 20
- 2θ 66.3, 1.411 Å, intensity 20
- 2θ 32.8, 2.727 Å, intensity 19
- 2θ 83.0, 1.164 Å, intensity 13

(7)
This entry pairs a crystal structure of PrScPtO6 with its calculated XRD peak list. Radiation: copper Kα. Structure: a structure optimized by DFT (GGA-PBE).

Structure:
Unit cell a=5.3599 b=5.3599 c=5.1043 alpha=90.00 beta=90.00 gamma=120.00
Atoms (fractional coordinates):
1 Pr 0.0000 0.0000 0.0000
2 Sc 0.3333 0.6667 0.5000
3 Pt 0.6667 0.3333 0.5000
4 O 0.3696 0.0187 0.7173
5 O 0.3696 0.3509 0.2827
6 O 0.6491 0.0187 0.2827
7 O 0.6491 0.6304 0.7173
8 O 0.9813 0.3509 0.7173
9 O 0.9813 0.6304 0.2827

Principal peaks in the range 2θ = 10–90°, by intensity:
- 2θ 25.9, 3.434 Å, intensity 100
- 2θ 49.3, 1.848 Å, intensity 36
- 2θ 33.4, 2.680 Å, intensity 33
- 2θ 42.8, 2.113 Å, intensity 25
- 2θ 55.4, 1.659 Å, intensity 25
- 2θ 19.1, 4.642 Å, intensity 21
- 2θ 59.8, 1.547 Å, intensity 12
- 2θ 57.7, 1.598 Å, intensity 10
- 2θ 76.3, 1.248 Å, intensity 10
- 2θ 78.3, 1.221 Å, intensity 9

(8)
This entry pairs a crystal structure of SrErAlS4 with its calculated XRD peak list. Radiation: copper Kα. Structure: a structure optimized by DFT (GGA-PBE).

Structure:
Unit cell a=6.5020 b=6.6713 c=8.0247 alpha=90.00 beta=107.01 gamma=90.00
Atoms (fractional coordinates):
1 Sr 0.2492 0.2500 0.0602
2 Sr 0.7508 0.7500 0.9398
3 Er 0.2181 0.2500 0.5521
4 Er 0.7819 0.7500 0.4479
5 Al 0.2437 0.7500 0.3231
6 Al 0.7563 0.2500 0.6769
7 S 0.0015 0.0023 0.2742
8 S 0.0015 0.4977 0.2742
9 S 0.4444 0.7500 0.1424
10 S 0.4549 0.7500 0.5942
11 S 0.5451 0.2500 0.4058
12 S 0.5556 0.2500 0.8576
13 S 0.9985 0.5023 0.7258
14 S 0.9985 0.9977 0.7258

Principal peaks in the range 2θ = 10–90°, by intensity:
- 2θ 19.5, 4.548 Å, intensity 100
- 2θ 26.7, 3.333 Å, intensity 63
- 2θ 33.6, 2.665 Å, intensity 54
- 2θ 34.1, 2.628 Å, intensity 52
- 2θ 11.5, 7.673 Å, intensity 45
- 2θ 35.7, 2.517 Å, intensity 34
- 2θ 39.6, 2.274 Å, intensity 32
- 2θ 35.8, 2.507 Å, intensity 32
- 2θ 30.8, 2.907 Å, intensity 25
- 2θ 43.2, 2.095 Å, intensity 21